# 1
Starting from a crystal structure in the Materials Project, relaxed with PBE, the X-ray powder pattern of K2TeClF5 was calculated for Cu Kα (weighted mean of Kα1 and Kα2).
Intensities are scaled so that the largest is 100.

a = 4.6992 Å, b = 10.7569 Å, c = 15.6441 Å
α = 90.00°, β = 106.51°, γ = 90.00°
Space group P2_1/c (No. 14)
Asymmetric unit:
K: 0.1524 0.0764 0.3944 [4 per cell]
K: 0.1850 0.6607 0.4208 [4 per cell]
Te: 0.3222 0.6298 0.6821 [4 per cell]
Cl: 0.3289 0.1278 0.5988 [4 per cell]
F: 0.0656 0.1377 0.9034 [4 per cell]
F: 0.1146 0.0062 0.2279 [4 per cell]
F: 0.1260 0.7450 0.2411 [4 per cell]
F: 0.3660 0.5028 0.5902 [4 per cell]
F: 0.3757 0.7284 0.1014 [4 per cell]

Largest 10 diffraction maxima, by angle, 2θ = 10–90°:
2θ = 10.12°, intensity 18, hkl 0 1 1; 2θ = 14.40°, intensity 37, hkl 0 1 2; 2θ = 17.52°, intensity 53, hkl 0 2 1; 2θ = 19.58°, intensity 19, hkl 0 1 3; 2θ = 21.38°, intensity 30, hkl 1 1 0; 2θ = 23.69°, intensity 37, hkl 0 0 4; 2θ = 25.16°, intensity 100, hkl 1 2 -1; 2θ = 28.02°, intensity 20, hkl 1 2 -3; 2θ = 34.63°, intensity 21, hkl 1 2 3; 2θ = 39.92°, intensity 24, hkl 1 3 -5

# 2
Starting from a crystal structure in the Materials Project, relaxed with PBE, the X-ray powder pattern of NbSe2SN2ClF6 was calculated for Cu Kα (weighted mean of Kα1 and Kα2).
Intensities are scaled so that the largest is 100.

a = 10.6777 Å, b = 8.5437 Å, c = 13.7164 Å
α = 90.00°, β = 119.24°, γ = 90.00°
Space group P2_1/c (No. 14)
Asymmetric unit:
Nb: 0.2350 0.1911 0.3221 [4 per cell]
Se: 0.3016 0.6768 0.5226 [4 per cell]
Se: 0.3192 0.5958 0.1360 [4 per cell]
S: 0.0510 0.7293 0.5500 [4 per cell]
N: 0.1294 0.6241 0.5040 [4 per cell]
N: 0.1401 0.6183 0.1110 [4 per cell]
Cl: 0.4525 0.6877 0.3130 [4 per cell]
F: 0.0340 0.2366 0.2513 [4 per cell]
F: 0.2055 0.5106 0.7517 [4 per cell]
F: 0.2252 0.0944 0.4472 [4 per cell]
F: 0.2471 0.2148 0.6985 [4 per cell]
F: 0.2807 0.1092 0.8999 [4 per cell]
F: 0.4453 0.1533 0.3976 [4 per cell]

Largest 10 diffraction maxima, by angle, 2θ = 10–90°:
2θ = 16.73°, intensity 57, hkl 1 1 -2; 2θ = 18.10°, intensity 100, hkl 0 1 2; 2θ = 19.05°, intensity 61, hkl 2 0 0; 2θ = 20.38°, intensity 54, hkl 2 1 -2; 2θ = 20.79°, intensity 35, hkl 0 2 0; 2θ = 22.09°, intensity 47, hkl 0 2 1; 2θ = 23.65°, intensity 39, hkl 1 1 2; 2θ = 24.63°, intensity 29, hkl 0 1 3; 2θ = 38.17°, intensity 30, hkl 2 3 -3; 2θ = 40.02°, intensity 29, hkl 1 2 -5